The following is a computed powder diffractogram of Mn3Co4. It was derived from a DFT-relaxed cell (GGA-PBE, Alexandria), using Cu Kα X-rays.
Intensities are scaled so that the largest is 100.

Atomic structure:
abc: 4.473 4.473 4.426
angles: 90.00 90.00 120.00
Positions (direct):
Mn  0.000  0.500  0.000
Mn  0.500  0.000  0.000
Mn  0.500  0.500  0.000
Co  0.000  0.000  0.257
Co  0.000  0.000  0.743
Co  0.333  0.667  0.500
Co  0.667  0.333  0.500

Peak list (10 most intense, 2θ from 10° to 80°, by angle)
40.3°, intensity 52; 40.8°, intensity 13; 45.4°, intensity 67; 46.9°, intensity 46; 47.3°, intensity 100; 51.5°, intensity 65; 73.3°, intensity 8; 76.9°, intensity 12; 77.5°, intensity 9; 78.3°, intensity 39